# Sn3Ir2
Theoretical powder X-ray diffraction pattern, λ = 1.5418 Å (Cu Kα). Input: a crystal structure in Alexandria, relaxed with PBE.
Kinematic intensities with the Lorentz-polarization factor, no thermal factor.

Structure:
```
Sn3Ir2
1.0
6.132 0.000 0.000
3.040 5.994 0.000
3.054 1.992 6.046
Sn Ir
6 4
direct
0.092 0.404 0.224
0.280 0.903 0.724
0.396 0.751 0.249
0.604 0.249 0.751
0.720 0.097 0.276
0.908 0.596 0.776
0.160 0.148 0.994
0.304 0.352 0.506
0.696 0.648 0.494
0.840 0.852 0.006
```

The 8 most intense peaks (2θ = 10–90°), by angle:
d = 4.998 Å, 17.75 deg, I = 28, (0 1 1)
d = 4.678 Å, 18.97 deg, I = 40, (1 0 1)
d = 2.931 Å, 30.50 deg, I = 56, (1 2 0)
d = 2.734 Å, 32.75 deg, I = 41, (2 1 2)
d = 2.245 Å, 40.17 deg, I = 100, (1 -1 2)
d = 2.240 Å, 40.25 deg, I = 31, (1 2 3)
d = 2.153 Å, 41.97 deg, I = 43, (2 1 -1)
d = 1.999 Å, 45.38 deg, I = 40, (0 3 1)